No. 1
This entry pairs a crystal structure of Nd2MnSe2O2 with its computed PXRD pattern. Radiation: λ = 1.5418 Å (Cu Kα). Structure: a DFT-relaxed cell (PBE+U, Alexandria).
Intensities are scaled so that the largest is 100.

Structural model:
a b c (Å): 11.683 3.924 7.166
angles (deg): 90.00 121.49 90.00
Space group C2/m (No. 12)
Symmetry-distinct sites (fractional):
Nd (0.192, 0.000, 0.246) (multiplicity 4)
Mn (0.000, 0.000, 0.500) (multiplicity 2)
Se (0.063, 0.500, 0.826) (multiplicity 4)
O (0.199, 0.000, 0.582) (multiplicity 4)

Largest 12 diffraction maxima, by angle, 10 to 90 degrees two-theta:
(1 1 -1), 25.92°, d = 3.437 Å, I 16; (0 0 2), 29.23°, d = 3.055 Å, I 18; (4 0 -1), 30.86°, d = 2.897 Å, I 100; (3 1 0), 35.41°, d = 2.535 Å, I 19; (3 1 -2), 35.90°, d = 2.502 Å, I 40; (2 0 -3), 38.00°, d = 2.368 Å, I 11; (0 2 0), 46.27°, d = 1.962 Å, I 15; (5 1 0), 51.44°, d = 1.776 Å, I 14; (0 2 2), 55.64°, d = 1.652 Å, I 9; (1 1 3), 55.73°, d = 1.649 Å, I 9; (4 2 -1), 56.66°, d = 1.624 Å, I 22; (7 1 -3), 61.42°, d = 1.509 Å, I 14


No. 2
This entry pairs a crystal structure of BaTeMo2O9 with its computed PXRD pattern. Radiation: λ = 1.5418 Å (Cu Kα). Structure: a DFT-relaxed cell (PBE+U, Alexandria).
Intensities are scaled so that the largest is 100.

Structural model:
a b c (Å): 5.691 7.588 9.008
angles (deg): 90.00 90.39 90.00
Space group P2_1 (No. 4)
Symmetry-distinct sites (fractional):
Ba (0.221, 0.000, 0.435) (multiplicity 2)
Te (0.111, 0.733, 0.917) (multiplicity 2)
Mo (0.277, 0.477, 0.267) (multiplicity 2)
Mo (0.283, 0.297, 0.825) (multiplicity 2)
O (0.003, 0.851, 0.698) (multiplicity 2)
O (0.034, 0.513, 0.829) (multiplicity 2)
O (0.043, 0.653, 0.125) (multiplicity 2)
O (0.212, 0.273, 0.633) (multiplicity 2)
O (0.212, 0.317, 0.059) (multiplicity 2)
O (0.262, 0.631, 0.414) (multiplicity 2)
O (0.474, 0.096, 0.856) (multiplicity 2)
O (0.478, 0.321, 0.340) (multiplicity 2)
O (0.492, 0.956, 0.176) (multiplicity 2)

Largest 12 diffraction maxima, by angle, 10 to 90 degrees two-theta:
(1 1 -1), 21.85°, d = 4.067 Å, I 59; (1 0 2), 25.30°, d = 3.520 Å, I 59; (0 2 1), 25.47°, d = 3.497 Å, I 61; (1 1 -2), 27.79°, d = 3.211 Å, I 68; (1 1 2), 27.94°, d = 3.193 Å, I 23; (1 2 1), 30.02°, d = 2.977 Å, I 100; (2 0 0), 31.44°, d = 2.845 Å, I 16; (0 1 3), 32.06°, d = 2.792 Å, I 26; (2 1 -1), 35.06°, d = 2.559 Å, I 24; (2 2 -1), 40.88°, d = 2.208 Å, I 18; (0 1 4), 41.84°, d = 2.159 Å, I 29; (0 3 3), 46.96°, d = 1.935 Å, I 20